Starting from a DFT-relaxed cell (GGA+U, the Materials Project), the X-ray powder pattern of FeRePb2O6 was computed for a wavelength of 1.5418 Å.
Neutral-atom scattering factors, no anomalous dispersion.

Cell and atoms:
a b c (Å): 5.6882 5.6882 5.6846
angles (deg): 119.89 119.89 90.19
Fractional coordinates of all 10 atoms:
1 Fe 0.0000 0.0000 0.0000
2 Re 0.5057 0.4943 0.0000
3 Pb 0.2326 0.7674 0.5000
4 Pb 0.7327 0.2673 0.5000
5 O 0.2593 0.2290 0.5102
6 O 0.2654 0.7346 0.0000
7 O 0.2807 0.2510 0.0216
8 O 0.7490 0.7193 0.9784
9 O 0.7518 0.2482 0.0000
10 O 0.7710 0.7407 0.4898

Main lines, most intense first (10 to 90 degrees two-theta):
| 2θ (°) | I/Imax |
| --- | --- |
| 31.44 | 100 |
| 55.97 | 33 |
| 45.02 | 17 |
| 74.52 | 11 |
| 65.61 | 10 |
| 19.10 | 9 |
| 45.16 | 9 |
| 38.76 | 7 |
| 56.06 | 7 |
| 22.09 | 6 |